# Na3Pa3InN8
Calculated powder diffraction line list, Cu Kα. Input: a DFT-relaxed cell (PBE, Alexandria).

Cell and atoms:
```
Na3Pa3InN8
1.0
6.1875 -3.4132 0.0000
6.1875 3.4132 0.0000
-3.9336 0.0000 5.7771
Na Pa In N
3 3 1 8
Direct
0.0000 0.0000 0.0000 Na
0.0000 0.5000 0.0000 Na
0.5000 0.0000 0.0000 Na
0.0000 0.5000 0.5000 Pa
0.5000 0.0000 0.5000 Pa
0.5000 0.5000 0.5000 Pa
0.0000 0.0000 0.5000 In
0.2397 0.2397 0.6883 N
0.2432 0.7270 0.6914 N
0.2660 0.2660 0.3079 N
0.2730 0.7568 0.3086 N
0.7270 0.2432 0.6914 N
0.7340 0.7340 0.6921 N
0.7568 0.2730 0.3086 N
0.7603 0.7603 0.3117 N
```

Principal peaks in the range 2θ = 15–90°, in order of rising 2θ:
d/Å	I (rel.)
5.777	100
3.062	20
2.937	33
2.885	38
2.839	35
2.557	22
2.442	37
2.281	15
1.892	13
1.766	27